Diffraction record for Ho2Bi2O7. The X-ray diffraction stick pattern is theoretical, not measured: it uses a structure optimized by DFT (GGA-PBE) and Cu Kα X-rays.
Neutral-atom scattering factors, no anomalous dispersion.

Most intense lines, 2θ = 10–90°, in order of rising 2θ:
2θ = 14.1°, rel. 1
2θ = 27.2°, rel. 2
2θ = 28.4°, rel. 100
2θ = 32.9°, rel. 37
2θ = 47.2°, rel. 49
2θ = 56.0°, rel. 46
2θ = 58.7°, rel. 11
2θ = 65.9°, rel. 1
2θ = 69.0°, rel. 8
2θ = 76.2°, rel. 19
2θ = 78.5°, rel. 15
2θ = 87.8°, rel. 16

Structure:
a b c (Å): 7.7027 7.7027 7.7027
angles (deg): 60.00 60.00 60.00
Sites, in units of the cell vectors:
Ho1 0.0000 0.0000 0.0000
Ho2 0.0000 0.0000 0.5000
Ho3 0.0000 0.5000 0.0000
Ho4 0.5000 0.0000 0.0000
Bi1 0.0000 0.5000 0.5000
Bi2 0.5000 0.0000 0.5000
Bi3 0.5000 0.5000 0.0000
Bi4 0.5000 0.5000 0.5000
O1 0.1250 0.1250 0.1250
O2 0.1460 0.1460 0.6040
O3 0.1460 0.6040 0.1460
O4 0.1460 0.6040 0.6040
O5 0.3960 0.3960 0.8540
O6 0.3960 0.8540 0.3960
O7 0.3960 0.8540 0.8540
O8 0.6040 0.1460 0.1460
O9 0.6040 0.1460 0.6040
O10 0.6040 0.6040 0.1460
O11 0.8540 0.3960 0.3960
O12 0.8540 0.3960 0.8540
O13 0.8540 0.8540 0.3960
O14 0.8750 0.8750 0.8750